(1)
The following is a computed powder diffraction line list of PuAgI2O8. It was derived from a crystal structure in Alexandria, relaxed with GGA-PBE, using Cu Kα, 1.54184 Å.

Structure:
```
data_PuAgI2O8
_cell_length_a 6.4612
_cell_length_b 6.4612
_cell_length_c 6.3509
_cell_angle_alpha 90.00
_cell_angle_beta 90.00
_cell_angle_gamma 120.00
_space_group_name_H-M_alt 'P 1'
_space_group_IT_number 1
loop_
_space_group_symop_operation_xyz
'x,y,z'
loop_
_atom_site_label
_atom_site_fract_x
_atom_site_fract_y
_atom_site_fract_z
Pu1 0.0000 0.0000 0.0000
Ag1 0.0000 0.0000 0.5000
I1 0.3333 0.6667 0.7755
I2 0.6667 0.3333 0.2245
O1 0.1529 0.3059 0.7953
O2 0.1529 0.8471 0.7953
O3 0.3059 0.1529 0.2047
O4 0.3333 0.6667 0.4959
O5 0.6667 0.3333 0.5041
O6 0.6941 0.8471 0.7953
O7 0.8471 0.1529 0.2047
O8 0.8471 0.6941 0.2047
```

Main lines, sorted by position (2θ = 10–80°):
2θ (°)	Rel. int.
15.8	54
21.2	78
27.6	100
32.4	69
43.1	40
45.2	22
48.8	21
51.9	41
57.0	18
67.1	18

=====

(2)
The following is a computed powder diffraction line list of RbAgIO4. It was derived from a crystal structure in Alexandria, relaxed with GGA-PBE, using Cu Kα, 1.54184 Å.

Structure:
```
data_RbAgIO4
_cell_length_a 6.6925
_cell_length_b 6.6925
_cell_length_c 6.6925
_cell_angle_alpha 60.00
_cell_angle_beta 60.00
_cell_angle_gamma 60.00
_space_group_name_H-M_alt 'P 1'
_space_group_IT_number 1
loop_
_space_group_symop_operation_xyz
'x,y,z'
loop_
_atom_site_label
_atom_site_fract_x
_atom_site_fract_y
_atom_site_fract_z
Rb1 0.0000 0.0000 0.0000
Ag1 0.2500 0.2500 0.2500
I1 0.5000 0.5000 0.5000
O1 0.3851 0.3851 0.3851
O2 0.3851 0.3851 0.8446
O3 0.3851 0.8446 0.3851
O4 0.8446 0.3851 0.3851
```

Main lines, sorted by position (2θ = 10–80°):
2θ (°)	Rel. int.
16.2	47
18.8	13
26.6	100
31.3	10
38.0	12
41.6	13
47.0	41
54.9	17
62.0	17
75.1	20